Structure and theoretical PXRD pattern of K2Pd3S2 (a PBE-relaxed structure; a wavelength of 1.5418 Å).
Kinematic intensities with the Lorentz-polarization factor, no thermal factor.

```
data_K2Pd3S2
_cell_length_a 8.149
_cell_length_b 10.571
_cell_length_c 31.914
_cell_angle_alpha 90.00
_cell_angle_beta 90.00
_cell_angle_gamma 90.00
_space_group_name_H-M_alt 'F d d d'
_space_group_IT_number 70
loop_
_space_group_symop_operation_xyz
'x,y,z'
'-x,-y,-z'
'-x+1/4,-y+1/4,z'
'x+1/4,y+1/4,-z'
'x,-y+1/4,-z+1/4'
'-x,y+1/4,z+1/4'
'-x+1/4,y,-z+1/4'
'x+1/4,-y,z+1/4'
'x,y+1/2,z+1/2'
'-x,-y+1/2,-z+1/2'
'-x+1/4,-y+3/4,z+1/2'
'x+1/4,y+3/4,-z+1/2'
'x,-y+3/4,-z+3/4'
'-x,y+3/4,z+3/4'
'-x+1/4,y+1/2,-z+3/4'
'x+1/4,-y+1/2,z+3/4'
'x+1/2,y,z+1/2'
'-x+1/2,-y,-z+1/2'
'-x+3/4,-y+1/4,z+1/2'
'x+3/4,y+1/4,-z+1/2'
'x+1/2,-y+1/4,-z+3/4'
'-x+1/2,y+1/4,z+3/4'
'-x+3/4,y,-z+3/4'
'x+3/4,-y,z+3/4'
'x+1/2,y+1/2,z'
'-x+1/2,-y+1/2,-z'
'-x+3/4,-y+3/4,z'
'x+3/4,y+3/4,-z'
'x+1/2,-y+3/4,-z+1/4'
'-x+1/2,y+3/4,z+1/4'
'-x+3/4,y+1/2,-z+1/4'
'x+3/4,-y+1/2,z+1/4'
loop_
_atom_site_label
_atom_site_fract_x
_atom_site_fract_y
_atom_site_fract_z
K1 0.101 0.298 0.423
Pd1 0.000 0.000 0.000
Pd2 0.095 0.002 0.732
S1 0.009 0.354 0.184
```

Principal peaks in the range 15° ≤ 2θ ≤ 90°, low angle first:
two_theta  I (rel.)  (hkl)
33.70  24  0 0 12
33.91  50  0 4 0
33.98  24  1 3 7
34.20  64  3 1 1
35.14  46  3 1 3
35.77  100  0 4 4
40.96  35  0 4 8
42.10  23  3 3 1
42.86  28  3 3 3
72.06  25  6 2 2

Structure and theoretical PXRD pattern of K2UPd3S6 (a PBE-relaxed structure; a wavelength of 1.5418 Å).
Kinematic intensities with the Lorentz-polarization factor, no thermal factor.

```
data_K2UPd3S6
_cell_length_a 9.757
_cell_length_b 14.384
_cell_length_c 16.803
_cell_angle_alpha 90.00
_cell_angle_beta 90.00
_cell_angle_gamma 90.00
_space_group_name_H-M_alt 'F m m m'
_space_group_IT_number 69
_space_group_name_Hall '-F 2 2'
loop_
_atom_site_label
_atom_site_fract_x
_atom_site_fract_y
_atom_site_fract_z
K1 0.000 0.202 0.000
K2 0.250 0.250 0.250
U1 0.000 0.000 0.332
Pd1 0.163 0.000 0.159
Pd2 0.173 0.000 0.500
S1 0.000 0.113 0.203
S2 0.186 0.113 0.397
```

Principal peaks in the range 15° ≤ 2θ ≤ 90°, low angle first:
two_theta  I (rel.)  (hkl)
24.49  65  0 2 4
24.76  34  0 4 0
31.96  22  0 0 6
32.44  98  3 1 3
34.36  51  0 2 6
37.05  100  3 3 3
40.84  39  0 4 6
45.08  75  3 5 3
50.09  25  0 6 6
57.26  34  3 1 9

Structure and theoretical PXRD pattern of KSb3Pd (a PBE-relaxed structure; a wavelength of 1.5418 Å).
Kinematic intensities with the Lorentz-polarization factor, no thermal factor.

```
data_KSb3Pd
_cell_length_a 6.881
_cell_length_b 6.316
_cell_length_c 6.947
_cell_angle_alpha 90.00
_cell_angle_beta 102.70
_cell_angle_gamma 90.00
_space_group_name_H-M_alt 'P 1 21 1'
_space_group_IT_number 4
_space_group_name_Hall 'P 2yb'
loop_
_atom_site_label
_atom_site_fract_x
_atom_site_fract_y
_atom_site_fract_z
K1 0.166 0.000 0.188
Sb1 0.056 0.008 0.670
Sb2 0.337 0.661 0.822
Sb3 0.455 0.528 0.301
Pd1 0.270 0.335 0.572
```

Principal peaks in the range 15° ≤ 2θ ≤ 90°, low angle first:
two_theta  I (rel.)  (hkl)
16.42  54  1 0 -1
19.23  58  0 1 1
24.98  49  1 1 1
29.93  100  0 1 2
30.15  91  2 1 0
30.48  68  2 1 -1
35.33  68  2 1 1
36.18  68  2 1 -2
39.43  46  2 2 -1
45.11  83  0 3 1

Structure and theoretical PXRD pattern of KSbPd2 (a PBE-relaxed structure; a wavelength of 1.5418 Å).
Kinematic intensities with the Lorentz-polarization factor, no thermal factor.

```
data_KSbPd2
_cell_length_a 4.570
_cell_length_b 7.508
_cell_length_c 6.345
_cell_angle_alpha 90.00
_cell_angle_beta 90.00
_cell_angle_gamma 90.00
_space_group_name_H-M_alt 'P m m n'
_space_group_IT_number 59
loop_
_space_group_symop_operation_xyz
'x,y,z'
'-x,-y,-z'
'-x+1/2,-y+1/2,z'
'x+1/2,y+1/2,-z'
'x+1/2,-y,-z'
'-x+1/2,y,z'
'-x,y+1/2,-z'
'x,-y+1/2,z'
loop_
_atom_site_label
_atom_site_fract_x
_atom_site_fract_y
_atom_site_fract_z
K1 0.250 0.250 0.115
Sb1 0.250 0.750 0.399
Pd1 0.250 0.063 0.603
```

Principal peaks in the range 15° ≤ 2θ ≤ 90°, low angle first:
two_theta  I (rel.)  (hkl)
18.31  51  0 1 1
30.59  91  0 1 2
33.98  89  1 2 1
39.44  58  2 0 0
41.12  57  1 3 0
42.03  39  2 0 1
42.21  66  1 2 2
43.63  100  1 3 1
50.72  44  2 1 2
53.63  54  1 2 3

Structure and theoretical PXRD pattern of K2SbPd3 (a PBE-relaxed structure; a wavelength of 1.5418 Å).
Kinematic intensities with the Lorentz-polarization factor, no thermal factor.

```
data_K2SbPd3
_cell_length_a 5.9849
_cell_length_b 5.9849
_cell_length_c 12.8856
_cell_angle_alpha 90.00
_cell_angle_beta 90.00
_cell_angle_gamma 120.00
_space_group_name_H-M_alt 'R -3 m'
_space_group_IT_number 166
_space_group_name_Hall '-R 3 2"'
loop_
_atom_site_label
_atom_site_fract_x
_atom_site_fract_y
_atom_site_fract_z
K1 0.0000 0.0000 0.1217
Sb1 0.0000 0.0000 0.5000
Pd1 0.0000 0.5000 0.0000
```

Principal peaks in the range 15° ≤ 2θ ≤ 90°, low angle first:
two_theta  I (rel.)  (hkl)
18.45  85  1 0 1
35.33  40  0 2 1
36.60  84  1 1 3
37.40  100  2 0 2
39.03  37  0 1 5
42.07  22  0 0 6
44.89  40  0 2 4
57.50  22  3 0 3
62.03  30  2 2 0
68.60  22  2 0 8

Structure and theoretical PXRD pattern of K4SbPd5 (a PBE-relaxed structure; a wavelength of 1.5418 Å).
Kinematic intensities with the Lorentz-polarization factor, no thermal factor.

```
data_K4SbPd5
_cell_length_a 14.269
_cell_length_b 6.247
_cell_length_c 10.085
_cell_angle_alpha 90.00
_cell_angle_beta 134.96
_cell_angle_gamma 90.00
_space_group_name_H-M_alt 'C 1 2 1'
_space_group_IT_number 5
_space_group_name_Hall 'C 2y'
loop_
_atom_site_label
_atom_site_fract_x
_atom_site_fract_y
_atom_site_fract_z
K1 0.100 0.000 0.405
K2 0.196 0.500 0.796
Sb1 0.000 0.242 0.000
Pd1 0.000 0.835 0.000
Pd2 0.062 0.512 0.248
Pd3 0.186 0.512 0.124
```

Principal peaks in the range 15° ≤ 2θ ≤ 90°, low angle first:
two_theta  I (rel.)  (hkl)
16.69  79  1 1 0
17.58  39  2 0 0
27.96  79  2 0 -3
35.14  100  5 1 -3
38.30  55  4 2 -2
39.55  48  3 1 1
39.96  30  2 0 -4
40.41  86  2 2 1
44.42  32  1 3 0
45.85  29  6 0 -1

Structure and theoretical PXRD pattern of K3Sb4Pd2 (a PBE-relaxed structure; a wavelength of 1.5418 Å).
Kinematic intensities with the Lorentz-polarization factor, no thermal factor.

```
data_K3Sb4Pd2
_cell_length_a 13.257
_cell_length_b 4.505
_cell_length_c 9.958
_cell_angle_alpha 90.00
_cell_angle_beta 102.83
_cell_angle_gamma 90.00
_space_group_name_H-M_alt 'C 1 2/m 1'
_space_group_IT_number 12
_space_group_name_Hall '-C 2y'
loop_
_atom_site_label
_atom_site_fract_x
_atom_site_fract_y
_atom_site_fract_z
K1 0.000 0.000 0.000
K2 0.123 0.500 0.402
Sb1 0.096 0.000 0.675
Sb2 0.215 0.500 0.097
Pd1 0.175 0.500 0.817
```

Principal peaks in the range 15° ≤ 2θ ≤ 90°, low angle first:
two_theta  I (rel.)  (hkl)
27.96  70  2 0 -3
28.67  67  3 1 0
31.55  100  3 1 -2
36.08  91  1 1 3
36.70  36  3 1 2
40.03  54  0 2 0
40.22  41  5 1 0
42.86  32  2 2 -1
44.30  34  1 1 4
52.43  39  7 1 -1

Structure and theoretical PXRD pattern of K2SbPdSe4 (a PBE-relaxed structure; a wavelength of 1.5418 Å).
Kinematic intensities with the Lorentz-polarization factor, no thermal factor.

```
data_K2SbPdSe4
_cell_length_a 5.252
_cell_length_b 15.884
_cell_length_c 22.960
_cell_angle_alpha 90.00
_cell_angle_beta 90.00
_cell_angle_gamma 90.00
_space_group_name_H-M_alt 'F d d d'
_space_group_IT_number 70
loop_
_space_group_symop_operation_xyz
'x,y,z'
'-x,-y,-z'
'-x+1/4,-y+1/4,z'
'x+1/4,y+1/4,-z'
'x,-y+1/4,-z+1/4'
'-x,y+1/4,z+1/4'
'-x+1/4,y,-z+1/4'
'x+1/4,-y,z+1/4'
'x,y+1/2,z+1/2'
'-x,-y+1/2,-z+1/2'
'-x+1/4,-y+3/4,z+1/2'
'x+1/4,y+3/4,-z+1/2'
'x,-y+3/4,-z+3/4'
'-x,y+3/4,z+3/4'
'-x+1/4,y+1/2,-z+3/4'
'x+1/4,-y+1/2,z+3/4'
'x+1/2,y,z+1/2'
'-x+1/2,-y,-z+1/2'
'-x+3/4,-y+1/4,z+1/2'
'x+3/4,y+1/4,-z+1/2'
'x+1/2,-y+1/4,-z+3/4'
'-x+1/2,y+1/4,z+3/4'
'-x+3/4,y,-z+3/4'
'x+3/4,-y,z+3/4'
'x+1/2,y+1/2,z'
'-x+1/2,-y+1/2,-z'
'-x+3/4,-y+3/4,z'
'x+3/4,y+3/4,-z'
'x+1/2,-y+3/4,-z+1/4'
'-x+1/2,y+3/4,z+1/4'
'-x+3/4,y+1/2,-z+1/4'
'x+3/4,-y+1/2,z+1/4'
loop_
_atom_site_label
_atom_site_fract_x
_atom_site_fract_y
_atom_site_fract_z
K1 0.125 0.125 0.306
Sb1 0.125 0.125 0.625
Pd1 0.125 0.125 0.125
Se1 0.116 0.265 0.805
```

Principal peaks in the range 15° ≤ 2θ ≤ 90°, low angle first:
two_theta  I (rel.)  (hkl)
15.44  34  0 0 4
25.84  50  0 2 6
26.59  100  1 3 3
27.31  53  0 4 4
30.89  40  1 3 5
38.71  51  0 4 8
41.48  46  0 6 6
41.72  74  2 0 6
41.99  59  2 4 2
48.85  32  2 6 0